(1)
This entry pairs a crystal structure of Er4Si9Ir13 with its calculated PXRD pattern. Radiation: Cu Kα (λ = 1.5418 Å). Structure: a DFT-relaxed cell (PBE, OQMD).

Most intense lines, 2θ = 10–80°, most intense first:
2θ/deg  Rel. int.  index
36.3  100  1 3 3
28.1  21  0 3 3
46.0  19  2 0 0
29.4  16  1 2 2
47.7  13  0 5 5
78.7  11  3 3 3
49.8  9  0 3 9
47.6  8  1 5 1
41.1  8  1 1 7
41.4  7  0 2 8

Structure:
```
data_Er4Si9Ir13
_chemical_formula_sum 'Er8 Si18 Ir26'
_cell_length_a 3.948
_cell_length_b 11.010
_cell_length_c 19.000
_cell_angle_alpha 90.00
_cell_angle_beta 90.00
_cell_angle_gamma 90.00
_symmetry_space_group_name_H-M 'P 1'
_symmetry_Int_Tables_number 1
_symmetry_space_group_name_Hall 'P 1'
loop_
_atom_site_label
_atom_site_type_symbol
_atom_site_fract_x
_atom_site_fract_y
_atom_site_fract_z
Er1 Er 0.250 0.059 0.208
Er2 Er 0.250 0.250 0.022
Er3 Er 0.250 0.441 0.208
Er4 Er 0.250 0.750 0.519
Er5 Er 0.750 0.250 0.481
Er6 Er 0.750 0.559 0.792
Er7 Er 0.750 0.750 0.978
Er8 Er 0.750 0.941 0.792
Si1 Si 0.250 0.069 0.415
Si2 Si 0.250 0.123 0.729
Si3 Si 0.250 0.250 0.602
Si4 Si 0.250 0.377 0.729
Si5 Si 0.250 0.431 0.415
Si6 Si 0.250 0.562 0.919
Si7 Si 0.250 0.750 0.102
Si8 Si 0.250 0.750 0.733
Si9 Si 0.250 0.938 0.919
Si10 Si 0.750 0.062 0.081
Si11 Si 0.750 0.250 0.267
Si12 Si 0.750 0.250 0.898
Si13 Si 0.750 0.438 0.081
Si14 Si 0.750 0.569 0.585
Si15 Si 0.750 0.623 0.271
Si16 Si 0.750 0.750 0.398
Si17 Si 0.750 0.877 0.271
Si18 Si 0.750 0.931 0.585
Ir1 Ir 0.250 0.061 0.539
Ir2 Ir 0.250 0.125 0.857
Ir3 Ir 0.250 0.250 0.343
Ir4 Ir 0.250 0.375 0.857
Ir5 Ir 0.250 0.439 0.539
Ir6 Ir 0.250 0.550 0.047
Ir7 Ir 0.250 0.566 0.665
Ir8 Ir 0.250 0.622 0.355
Ir9 Ir 0.250 0.750 0.227
Ir10 Ir 0.250 0.750 0.858
Ir11 Ir 0.250 0.878 0.355
Ir12 Ir 0.250 0.934 0.665
Ir13 Ir 0.250 0.950 0.047
Ir14 Ir 0.750 0.050 0.953
Ir15 Ir 0.750 0.066 0.335
Ir16 Ir 0.750 0.122 0.645
Ir17 Ir 0.750 0.250 0.142
Ir18 Ir 0.750 0.250 0.773
Ir19 Ir 0.750 0.378 0.645
Ir20 Ir 0.750 0.434 0.335
Ir21 Ir 0.750 0.450 0.953
Ir22 Ir 0.750 0.561 0.461
Ir23 Ir 0.750 0.625 0.143
Ir24 Ir 0.750 0.750 0.657
Ir25 Ir 0.750 0.875 0.143
Ir26 Ir 0.750 0.939 0.461
```


(2)
This entry pairs a crystal structure of PdSe with its calculated PXRD pattern. Radiation: Cu Kα (λ = 1.5418 Å). Structure: a DFT-relaxed cell (PBE, OQMD).

Most intense lines, 2θ = 10–80°, most intense first:
2θ/deg  Rel. int.  index
30.5  100  4 0 0
47.2  41  5 1 2
30.3  33  3 2 1
40.0  32  4 0 2
51.1  30  4 4 2
27.4  30  1 1 2
33.1  29  4 0 1
27.2  22  3 1 1
51.7  21  0 0 4
37.6  20  3 2 2

Structure:
```
data_PdSe
_chemical_formula_sum 'Pd24 Se24'
_cell_length_a 11.710
_cell_length_b 11.710
_cell_length_c 7.074
_cell_angle_alpha 90.00
_cell_angle_beta 90.00
_cell_angle_gamma 90.00
_symmetry_space_group_name_H-M 'P 1'
_symmetry_Int_Tables_number 1
_symmetry_space_group_name_Hall 'P 1'
loop_
_atom_site_label
_atom_site_type_symbol
_atom_site_fract_x
_atom_site_fract_y
_atom_site_fract_z
Pd1 Pd 0.046 0.129 0.000
Pd2 Pd 0.113 0.613 0.250
Pd3 Pd 0.113 0.613 0.750
Pd4 Pd 0.129 0.954 0.500
Pd5 Pd 0.143 0.269 0.500
Pd6 Pd 0.231 0.357 0.000
Pd7 Pd 0.269 0.857 0.000
Pd8 Pd 0.357 0.769 0.500
Pd9 Pd 0.371 0.454 0.500
Pd10 Pd 0.387 0.113 0.250
Pd11 Pd 0.387 0.113 0.750
Pd12 Pd 0.454 0.629 0.000
Pd13 Pd 0.546 0.371 0.000
Pd14 Pd 0.613 0.887 0.250
Pd15 Pd 0.613 0.887 0.750
Pd16 Pd 0.629 0.546 0.500
Pd17 Pd 0.643 0.231 0.500
Pd18 Pd 0.731 0.143 0.000
Pd19 Pd 0.769 0.643 0.000
Pd20 Pd 0.857 0.731 0.500
Pd21 Pd 0.871 0.046 0.500
Pd22 Pd 0.887 0.387 0.250
Pd23 Pd 0.887 0.387 0.750
Pd24 Pd 0.954 0.871 0.000
Se1 Se 0.096 0.404 0.250
Se2 Se 0.096 0.404 0.750
Se3 Se 0.110 0.823 0.224
Se4 Se 0.110 0.823 0.776
Se5 Se 0.177 0.110 0.276
Se6 Se 0.177 0.110 0.724
Se7 Se 0.323 0.610 0.276
Se8 Se 0.323 0.610 0.724
Se9 Se 0.390 0.323 0.224
Se10 Se 0.390 0.323 0.776
Se11 Se 0.404 0.904 0.250
Se12 Se 0.404 0.904 0.750
Se13 Se 0.596 0.096 0.250
Se14 Se 0.596 0.096 0.750
Se15 Se 0.610 0.677 0.224
Se16 Se 0.610 0.677 0.776
Se17 Se 0.677 0.390 0.276
Se18 Se 0.677 0.390 0.724
Se19 Se 0.823 0.890 0.276
Se20 Se 0.823 0.890 0.724
Se21 Se 0.890 0.177 0.224
Se22 Se 0.890 0.177 0.776
Se23 Se 0.904 0.596 0.250
Se24 Se 0.904 0.596 0.750
```


(3)
This entry pairs a crystal structure of HgI with its calculated PXRD pattern. Radiation: Cu Kα (λ = 1.5418 Å). Structure: a DFT-relaxed cell (PBE, OQMD).

Most intense lines, 2θ = 10–80°, most intense first:
2θ/deg  Rel. int.  index
25.0  100  1 0 2
36.7  90  1 0 6
40.6  77  1 1 0
23.1  49  1 0 0
27.1  41  1 0 3
44.8  34  1 0 8
55.9  27  2 0 6
71.4  26  2 1 6
18.6  26  0 0 4
73.9  22  3 0 0

Structure:
```
data_HgI
_chemical_formula_sum 'Hg4 I4'
_cell_length_a 4.439
_cell_length_b 4.439
_cell_length_c 19.049
_cell_angle_alpha 90.00
_cell_angle_beta 90.00
_cell_angle_gamma 120.00
_symmetry_space_group_name_H-M 'P 1'
_symmetry_Int_Tables_number 1
_symmetry_space_group_name_Hall 'P 1'
loop_
_atom_site_label
_atom_site_type_symbol
_atom_site_fract_x
_atom_site_fract_y
_atom_site_fract_z
Hg1 Hg 0.000 0.000 0.180
Hg2 Hg 0.000 0.000 0.320
Hg3 Hg 0.000 0.000 0.680
Hg4 Hg 0.000 0.000 0.820
I1 I 0.333 0.667 0.095
I2 I 0.333 0.667 0.405
I3 I 0.667 0.333 0.595
I4 I 0.667 0.333 0.905
```